1.
V3Pt2: theoretical XRD peak list (Cu Kα (weighted mean of Kα1 and Kα2)), based on a DFT-relaxed cell (PBE, Alexandria).
No peak broadening, texture or thermal motion is included.

Crystal structure
a = 11.088 Å, b = 2.847 Å, c = 9.211 Å
α = 90.00°, β = 90.00°, γ = 90.00°
Fractional positions:
V  0.035  0.250  0.103
V  0.065  0.750  0.590
V  0.150  0.250  0.788
V  0.350  0.750  0.288
V  0.435  0.250  0.090
V  0.465  0.750  0.603
V  0.535  0.250  0.397
V  0.565  0.750  0.910
V  0.650  0.250  0.712
V  0.850  0.750  0.212
V  0.935  0.250  0.410
V  0.965  0.750  0.897
Pt  0.121  0.750  0.310
Pt  0.223  0.750  0.020
Pt  0.277  0.250  0.520
Pt  0.379  0.250  0.810
Pt  0.621  0.750  0.190
Pt  0.723  0.750  0.480
Pt  0.777  0.250  0.980
Pt  0.879  0.250  0.690

Peak list (6 most intense, 10° ≤ 2θ ≤ 80°, low angle first)
2θ = 18.7°, I = 70
2θ = 35.4°, I = 42
2θ = 37.9°, I = 76
2θ = 40.0°, I = 47
2θ = 41.2°, I = 93
2θ = 44.1°, I = 100

2.
V3Pt5: theoretical XRD peak list (Cu Kα (weighted mean of Kα1 and Kα2)), based on a DFT-relaxed cell (PBE, Alexandria).
No peak broadening, texture or thermal motion is included.

Crystal structure
a = 2.735 Å, b = 2.735 Å, c = 15.670 Å
α = 90.00°, β = 90.00°, γ = 90.00°
Fractional positions:
V  0.000  0.000  0.000
V  0.500  0.500  0.376
V  0.500  0.500  0.624
Pt  0.000  0.000  0.259
Pt  0.000  0.000  0.500
Pt  0.000  0.000  0.741
Pt  0.500  0.500  0.117
Pt  0.500  0.500  0.883

Peak list (6 most intense, 10° ≤ 2θ ≤ 80°, low angle first)
2θ = 28.5°, I = 13
2θ = 33.3°, I = 20
2θ = 40.2°, I = 100
2θ = 46.4°, I = 15
2θ = 47.0°, I = 33
2θ = 68.1°, I = 19

3.
V2Pt3: theoretical XRD peak list (Cu Kα (weighted mean of Kα1 and Kα2)), based on a DFT-relaxed cell (PBE, Alexandria).
No peak broadening, texture or thermal motion is included.

Crystal structure
a = 9.967 Å, b = 9.967 Å, c = 9.967 Å
α = 164.26°, β = 164.26°, γ = 22.33°
Fractional positions:
V  0.099  0.099  0.000
V  0.901  0.901  0.000
Pt  0.307  0.307  0.000
Pt  0.500  0.500  0.000
Pt  0.693  0.693  0.000

Peak list (6 most intense, 10° ≤ 2θ ≤ 80°, low angle first)
2θ = 27.4°, I = 15
2θ = 33.1°, I = 23
2θ = 40.3°, I = 100
2θ = 46.4°, I = 15
2θ = 47.1°, I = 33
2θ = 68.3°, I = 19

4.
VPt7: theoretical XRD peak list (Cu Kα (weighted mean of Kα1 and Kα2)), based on a DFT-relaxed cell (PBE, Alexandria).
No peak broadening, texture or thermal motion is included.

Crystal structure
a = 8.364 Å, b = 8.364 Å, c = 8.364 Å
α = 152.72°, β = 152.72°, γ = 38.96°
Fractional positions:
V  0.000  0.000  0.000
Pt  0.119  0.619  0.500
Pt  0.253  0.253  0.000
Pt  0.381  0.881  0.500
Pt  0.500  0.500  0.000
Pt  0.619  0.119  0.500
Pt  0.747  0.747  0.000
Pt  0.881  0.381  0.500

Peak list (6 most intense, 10° ≤ 2θ ≤ 80°, low angle first)
2θ = 23.2°, I = 4
2θ = 34.1°, I = 5
2θ = 36.5°, I = 2
2θ = 39.6°, I = 100
2θ = 46.0°, I = 49
2θ = 67.1°, I = 31